# BaSm2Mo4O16
Computed PXRD pattern, Cu Kα. Input: a GGA+U-relaxed structure.
Peak positions follow from Bragg's law for the DFT cell and can differ from measured ones.

The 12 most intense peaks (2θ from 5° to 70°), in order of rising 2θ:
2θ/deg	d (Å)	I_rel	hkl
8.99	9.841	87.2	0 0 2
25.18	3.537	72.5	1 1 -4
25.71	3.464	77.9	1 1 4
26.52	3.361	46.1	1 3 0
26.84	3.322	59.5	1 3 -1
26.96	3.307	61.6	1 3 1
27.92	3.195	62.7	1 3 -2
28.17	3.168	60.8	1 3 2
28.61	3.120	81.6	1 1 -5
29.19	3.059	100.0	1 1 5
30.58	2.924	56.0	0 2 6
33.19	2.699	68.4	2 0 0

a b c (Å): 5.4003 12.8921 19.6876
angles (deg): 90.00 91.29 90.00
Space group C2/c (No. 15)
Inequivalent atoms, fractional coordinates:
Ba 0.0000 0.0319 0.2500 (multiplicity 4)
Sm 0.0027 0.1482 0.4672 (multiplicity 8)
Mo 0.0036 0.2604 0.8500 (multiplicity 8)
Mo 0.0104 0.4422 0.0911 (multiplicity 8)
O 0.1172 0.4182 0.3302 (multiplicity 8)
O 0.1231 0.1393 0.8249 (multiplicity 8)
O 0.1500 0.3298 0.0461 (multiplicity 8)
O 0.1596 0.2422 0.5678 (multiplicity 8)
O 0.2091 0.3059 0.7119 (multiplicity 8)
O 0.2314 0.4543 0.6032 (multiplicity 8)
O 0.2394 0.1488 0.1353 (multiplicity 8)
O 0.2462 0.0166 0.5357 (multiplicity 8)